(1)
This entry pairs a crystal structure of ScPaC with its simulated powder diffraction line list. Radiation: CuKα. Structure: a cell relaxed with PBE.

Most intense lines, 2θ = 5–70°, sorted by position:
| Position (°2θ) | Rel. int. |
| --- | --- |
| 14.8 | 67 |
| 29.8 | 24 |
| 30.8 | 42 |
| 34.3 | 100 |
| 43.4 | 41 |
| 54.8 | 17 |
| 55.8 | 24 |
| 57.1 | 14 |
| 63.6 | 18 |
| 66.3 | 15 |

Cell: 3.3486 3.3486 5.9991 Å, 90.00 90.00 120.00°
Fractional positions:
Sc 0.0000 0.0000 0.0000
Pa 0.3333 0.6667 0.5537
C 0.6667 0.3333 0.7930

(2)
This entry pairs a crystal structure of ZrPaCSe with its simulated powder diffraction line list. Radiation: CuKα. Structure: a cell relaxed with PBE.

Most intense lines, 2θ = 5–70°, sorted by position:
| Position (°2θ) | Rel. int. |
| --- | --- |
| 13.0 | 34 |
| 26.1 | 19 |
| 29.7 | 76 |
| 34.3 | 81 |
| 36.8 | 100 |
| 39.6 | 22 |
| 52.0 | 41 |
| 53.9 | 31 |
| 65.4 | 18 |
| 67.3 | 28 |

Cell: 3.5155 3.5155 20.5014 Å, 90.00 90.00 120.00°
Fractional positions:
Zr 0.0000 0.0000 0.0000
Zr 0.3333 0.6667 0.6667
Zr 0.6667 0.3333 0.3333
Pa 0.0000 0.0000 0.2020
Pa 0.3333 0.6667 0.8686
Pa 0.6667 0.3333 0.5353
C 0.0000 0.0000 0.6065
C 0.3333 0.6667 0.2732
C 0.6667 0.3333 0.9399
Se 0.0000 0.0000 0.4272
Se 0.3333 0.6667 0.0939
Se 0.6667 0.3333 0.7605

(3)
This entry pairs a crystal structure of UPa2SiC4 with its simulated powder diffraction line list. Radiation: CuKα. Structure: a cell relaxed with PBE.

Most intense lines, 2θ = 5–70°, sorted by position:
| Position (°2θ) | Rel. int. |
| --- | --- |
| 27.4 | 100 |
| 27.7 | 26 |
| 30.7 | 88 |
| 31.3 | 45 |
| 35.7 | 35 |
| 38.1 | 47 |
| 46.9 | 35 |
| 52.4 | 42 |
| 60.1 | 24 |
| 62.3 | 22 |

Cell: 5.9709 5.9709 11.9024 Å, 90.00 90.00 145.99°
Fractional positions:
U 0.1000 0.9000 0.7500
U 0.9000 0.1000 0.2500
Pa 0.3664 0.6336 0.5512
Pa 0.3664 0.6336 0.9488
Pa 0.6336 0.3664 0.0512
Pa 0.6336 0.3664 0.4488
Si 0.1641 0.8359 0.2500
Si 0.8359 0.1641 0.7500
C 0.0000 0.0000 0.0000
C 0.0000 0.0000 0.5000
C 0.2731 0.7269 0.1327
C 0.2731 0.7269 0.3673
C 0.4315 0.5685 0.7500
C 0.5685 0.4315 0.2500
C 0.7269 0.2731 0.6327
C 0.7269 0.2731 0.8673

(4)
This entry pairs a crystal structure of PaTaC with its simulated powder diffraction line list. Radiation: CuKα. Structure: a cell relaxed with PBE.

Most intense lines, 2θ = 5–70°, sorted by position:
| Position (°2θ) | Rel. int. |
| --- | --- |
| 31.3 | 30 |
| 32.2 | 21 |
| 36.0 | 100 |
| 45.6 | 19 |
| 57.5 | 18 |
| 58.8 | 25 |
| 65.3 | 4 |
| 66.9 | 22 |
| 67.5 | 3 |
| 69.7 | 15 |

Cell: 3.2061 3.2061 5.7151 Å, 90.00 90.00 120.00°
Fractional positions:
Pa 0.0000 0.0000 0.0000
Ta 0.3333 0.6667 0.4920
C 0.6667 0.3333 0.2956

(5)
This entry pairs a crystal structure of TbPa2TaC4 with its simulated powder diffraction line list. Radiation: CuKα. Structure: a cell relaxed with PBE.

Most intense lines, 2θ = 5–70°, sorted by position:
| Position (°2θ) | Rel. int. |
| --- | --- |
| 31.3 | 100 |
| 31.6 | 97 |
| 36.4 | 42 |
| 36.5 | 83 |
| 52.1 | 15 |
| 52.5 | 58 |
| 62.3 | 45 |
| 62.5 | 15 |
| 62.9 | 29 |
| 65.2 | 15 |

Cell: 6.9744 6.9744 6.9744 Å, 120.63 119.56 89.84°
Fractional positions:
Tb 0.0000 0.0000 0.0000
Tb 0.5000 0.0000 0.5000
Pa 0.0000 0.5000 0.5000
Pa 0.5000 0.0000 0.0000
Pa 0.5000 0.5000 0.0000
Pa 0.5000 0.5000 0.5000
Ta 0.0000 0.0000 0.5000
Ta 0.0000 0.5000 0.0000
C 0.2285 0.7476 0.4808
C 0.2332 0.2524 0.9808
C 0.2372 0.2482 0.5110
C 0.2372 0.7262 0.9890
C 0.7628 0.2738 0.0110
C 0.7628 0.7518 0.4890
C 0.7668 0.7476 0.0192
C 0.7715 0.2524 0.5192

(6)
This entry pairs a crystal structure of Th2PaTaC4 with its simulated powder diffraction line list. Radiation: CuKα. Structure: a cell relaxed with PBE.

Most intense lines, 2θ = 5–70°, sorted by position:
| Position (°2θ) | Rel. int. |
| --- | --- |
| 25.1 | 23 |
| 27.3 | 61 |
| 29.3 | 57 |
| 29.8 | 97 |
| 36.5 | 100 |
| 40.5 | 39 |
| 47.5 | 16 |
| 54.4 | 16 |
| 61.1 | 27 |
| 68.0 | 24 |

Cell: 6.3371 6.3371 13.0862 Å, 90.00 90.00 147.86°
Fractional positions:
Th 0.1364 0.8636 0.5315
Th 0.1364 0.8636 0.9685
Th 0.8636 0.1364 0.0315
Th 0.8636 0.1364 0.4685
Pa 0.3735 0.6265 0.7500
Pa 0.6265 0.3735 0.2500
Ta 0.3598 0.6402 0.2500
Ta 0.6402 0.3598 0.7500
C 0.0306 0.9694 0.7500
C 0.2384 0.7616 0.1400
C 0.2384 0.7616 0.3600
C 0.5000 0.5000 0.0000
C 0.5000 0.5000 0.5000
C 0.7616 0.2384 0.6400
C 0.7616 0.2384 0.8600
C 0.9694 0.0306 0.2500

(7)
This entry pairs a crystal structure of PaTa2WC4 with its simulated powder diffraction line list. Radiation: CuKα. Structure: a cell relaxed with PBE.

Most intense lines, 2θ = 5–70°, sorted by position:
| Position (°2θ) | Rel. int. |
| --- | --- |
| 28.6 | 21 |
| 31.2 | 59 |
| 32.0 | 47 |
| 32.7 | 100 |
| 39.8 | 85 |
| 45.3 | 33 |
| 51.4 | 22 |
| 56.4 | 15 |
| 66.0 | 31 |
| 66.4 | 12 |

Cell: 5.9540 5.9540 11.1873 Å, 90.00 90.00 148.22°
Fractional positions:
Pa 0.1173 0.8827 0.7500
Pa 0.8827 0.1173 0.2500
Ta 0.3719 0.6281 0.5354
Ta 0.3719 0.6281 0.9646
Ta 0.6281 0.3719 0.0354
Ta 0.6281 0.3719 0.4646
W 0.1482 0.8518 0.2500
W 0.8518 0.1482 0.7500
C 0.0000 0.0000 0.0000
C 0.0000 0.0000 0.5000
C 0.2631 0.7369 0.1140
C 0.2631 0.7369 0.3860
C 0.4596 0.5404 0.7500
C 0.5404 0.4596 0.2500
C 0.7369 0.2631 0.6140
C 0.7369 0.2631 0.8860

(8)
This entry pairs a crystal structure of Tb2PaC3 with its simulated powder diffraction line list. Radiation: CuKα. Structure: a cell relaxed with PBE.

Most intense lines, 2θ = 5–70°, sorted by position:
| Position (°2θ) | Rel. int. |
| --- | --- |
| 24.5 | 12 |
| 24.7 | 24 |
| 30.3 | 100 |
| 35.1 | 19 |
| 43.3 | 37 |
| 43.5 | 10 |
| 53.9 | 14 |
| 56.9 | 19 |
| 57.1 | 9 |
| 60.0 | 15 |

Cell: 7.2191 7.2191 5.1161 Å, 90.00 90.00 60.32°
Fractional positions:
Tb 0.0065 0.3319 0.2500
Tb 0.3319 0.0065 0.7500
Tb 0.6681 0.9935 0.2500
Tb 0.9935 0.6681 0.7500
Pa 0.3289 0.6711 0.2500
Pa 0.6711 0.3289 0.7500
C 0.0192 0.6664 0.2500
C 0.3336 0.9808 0.2500
C 0.3503 0.6497 0.7500
C 0.6497 0.3503 0.2500
C 0.6664 0.0192 0.7500
C 0.9808 0.3336 0.7500

Question: What is the formula in the first record?
Answer: ScPaC